1.
This entry pairs a crystal structure of TlTeO with its simulated powder XRD pattern. Radiation: CuKα. Structure: DFT lattice parameters and positions (PBE).

Atomic structure:
```
6
Lattice="2.706 1.562 6.417 -2.706 1.562 6.417 0.000 -3.125 6.417" Properties=species:S:1:pos:R:3 pbc="T T T"
Tl 0.000 0.000 2.045
Tl 0.000 0.000 17.208
Te 0.000 0.000 6.515
Te 0.000 0.000 12.737
O 0.000 0.000 4.574
O 0.000 0.000 14.679
```

Top 10 peaks for 2θ from 10° to 80°, low angle first:
Position (°2θ), I_rel
19.5, 26
26.5, 84
30.0, 60
33.1, 100
42.2, 19
42.9, 24
45.3, 20
54.7, 45
55.3, 23
57.2, 20

2.
This entry pairs a crystal structure of HfMg6BiO8 with its simulated powder XRD pattern. Radiation: CuKα. Structure: DFT lattice parameters and positions (PBE).

Atomic structure:
```
16
Lattice="4.401 0.000 0.000 0.000 4.401 0.000 0.000 0.000 10.467" Properties=species:S:1:pos:R:3 pbc="T T T"
Hf 0.000 0.000 0.000
Mg 0.000 2.200 2.834
Mg 0.000 2.200 7.633
Mg 2.200 0.000 2.834
Mg 2.200 0.000 7.633
Mg 2.200 2.200 0.000
Mg 2.200 2.200 5.233
Bi 0.000 0.000 5.233
O 0.000 0.000 2.058
O 0.000 0.000 8.408
O 0.000 2.200 0.000
O 0.000 2.200 5.233
O 2.200 0.000 0.000
O 2.200 0.000 5.233
O 2.200 2.200 3.026
O 2.200 2.200 7.441
```

Top 10 peaks for 2θ from 10° to 80°, low angle first:
Position (°2θ), I_rel
16.9, 76
20.2, 93
26.5, 100
28.7, 40
33.5, 83
34.3, 44
40.1, 32
41.0, 63
49.5, 38
54.5, 45

3.
This entry pairs a crystal structure of Sr4TlTe5 with its simulated powder XRD pattern. Radiation: CuKα. Structure: DFT lattice parameters and positions (PBE).

Atomic structure:
```
10
Lattice="-2.351 2.351 16.929 2.351 -2.351 16.929 2.351 2.351 -16.929" Properties=species:S:1:pos:R:3 pbc="T T T"
Sr 0.000 0.000 3.408
Sr 0.000 0.000 10.153
Sr 0.000 0.000 23.705
Sr 0.000 0.000 30.450
Tl 0.000 0.000 16.929
Te 0.000 0.000 0.000
Te 0.000 0.000 6.783
Te 0.000 0.000 13.520
Te 0.000 0.000 20.339
Te 0.000 0.000 27.076
```

Top 10 peaks for 2θ from 10° to 80°, low angle first:
Position (°2θ), I_rel
26.3, 52
26.8, 100
37.9, 80
38.3, 39
47.1, 44
61.5, 19
62.2, 19
62.5, 18
68.3, 14
69.0, 27